No. 1
For Hf2GaB2Ir5, a structure optimized by DFT (PBE) gives the theoretical powder diffraction line list in this record (Cu Ka).
Neutral-atom scattering factors, no anomalous dispersion.

Crystal structure
a b c (Å): 9.2187 9.2187 3.2655
angles (deg): 90.00 90.00 90.00
Space group P4/mbm (No. 127)
Unique sites:
Hf1 0.1759 0.3241 0.0000
Ga1 0.0000 0.0000 0.0000
B1 0.1229 0.6229 0.0000
Ir1 0.0000 0.5000 0.5000
Ir2 0.0709 0.7844 0.5000

The 6 most intense peaks (10 to 90 degrees two-theta), by angle:
35.06°, I = 922, (2 1 1)
39.05°, I = 316, (2 2 1)
40.34°, I = 735, (4 1 0)
41.53°, I = 1000, (3 1 1)
45.03°, I = 350, (3 2 1)
71.59°, I = 455, (4 1 2)

No. 2
For Dy4GeAsS2, a structure optimized by DFT (PBE) gives the theoretical powder diffraction line list in this record (Cu Ka).
Neutral-atom scattering factors, no anomalous dispersion.

Crystal structure
a b c (Å): 6.9592 4.0448 7.0086
angles (deg): 90.00 109.55 90.00
Space group P2/m (No. 10)
Unique sites:
Dy1 0.2487 0.0000 0.2475
Dy2 0.2487 0.5000 0.7522
Ge1 0.0000 0.5000 0.0000
As1 0.0000 0.0000 0.5000
S1 0.5000 0.0000 0.0000
S2 0.5000 0.5000 0.5000

The 6 most intense peaks (10 to 90 degrees two-theta), by angle:
27.02°, I = 343, (0 0 2)
31.35°, I = 1000, (1 1 1)
44.81°, I = 370, (0 2 0)
45.04°, I = 365, (2 0 2)
55.70°, I = 194, (0 0 4)
74.15°, I = 165, (1 3 1)

No. 3
For NdAgSn2Se4, a structure optimized by DFT (PBE) gives the theoretical powder diffraction line list in this record (Cu Ka).
Neutral-atom scattering factors, no anomalous dispersion.

Crystal structure
a b c (Å): 7.1763 4.2453 7.5334
angles (deg): 90.00 109.64 90.00
Space group P2/m (No. 10)
Unique sites:
Nd1 0.0000 0.0000 0.0000
Ag1 0.5000 0.5000 0.0000
Sn1 0.0000 0.5000 0.5000
Sn2 0.5000 0.0000 0.5000
Se1 0.2455 0.5000 0.2450
Se2 0.2558 0.0000 0.7604

The 6 most intense peaks (10 to 90 degrees two-theta), by angle:
29.79°, I = 1000, (2 0 -2)
41.80°, I = 263, (1 1 -3)
42.59°, I = 125, (0 2 0)
42.71°, I = 123, (2 0 2)
43.43°, I = 237, (3 1 -1)
52.82°, I = 133, (2 2 -2)

No. 4
For Np2Fe2Ni15, a structure optimized by DFT (PBE) gives the theoretical powder diffraction line list in this record (Cu Ka).
Neutral-atom scattering factors, no anomalous dispersion.

Crystal structure
a b c (Å): 8.2634 8.2634 12.0989
angles (deg): 90.00 90.00 120.00
Space group R-3m (No. 166, hexagonal axes)
Unique sites:
Np1 0.0000 0.0000 0.1621
Fe1 0.0000 0.0000 0.4027
Ni1 0.0000 0.2997 0.5000
Ni2 0.0000 0.5000 0.0000
Ni3 0.0017 0.5008 0.6540

The 6 most intense peaks (10 to 90 degrees two-theta), by angle:
30.99°, I = 536, (1 1 3)
37.71°, I = 444, (3 0 0)
43.82°, I = 545, (2 2 0)
44.11°, I = 1000, (0 3 3)
44.96°, I = 428, (0 0 6)
64.59°, I = 253, (2 2 6)

No. 5
For Ca2ReO6, a structure optimized by DFT (PBE) gives the theoretical powder diffraction line list in this record (Cu Ka).
Neutral-atom scattering factors, no anomalous dispersion.

Crystal structure
a b c (Å): 5.0948 5.0948 10.0437
angles (deg): 90.00 90.00 90.00
Space group P4_2/mnm (No. 136)
Unique sites:
Ca1 0.0000 0.0000 0.1685
Re1 0.0000 0.0000 0.5000
O1 0.1812 0.1812 0.3641
O2 0.2358 0.2358 0.0000

The 6 most intense peaks (10 to 90 degrees two-theta), by angle:
17.66°, I = 344, (0 0 2)
19.54°, I = 1000, (1 0 1)
24.71°, I = 938, (1 1 0)
30.54°, I = 258, (1 1 2)
31.99°, I = 708, (1 0 3)
48.32°, I = 609, (2 1 3)

No. 6
For La3Pm4Er, a structure optimized by DFT (PBE) gives the theoretical powder diffraction line list in this record (Cu Ka).
Neutral-atom scattering factors, no anomalous dispersion.

Crystal structure
a b c (Å): 11.8664 6.3580 7.3749
angles (deg): 90.00 90.00 90.00
Space group Pmn2_1 (No. 31)
Unique sites:
La1 0.0000 0.1679 0.0000
La2 0.2477 0.9980 0.7511
Pm1 0.0000 0.1672 0.5012
Pm2 0.0000 0.6686 0.2501
Pm3 0.2493 0.4991 0.4998
Er1 0.0000 0.6667 0.7487

The 6 most intense peaks (10 to 90 degrees two-theta), by angle:
29.02°, I = 455, (1 1 2)
30.12°, I = 349, (4 0 0)
31.88°, I = 1000, (2 2 0)
36.20°, I = 253, (3 1 2)
54.62°, I = 217, (6 2 0)
59.14°, I = 206, (4 3 2)

No. 7
For HoU3Se6, a structure optimized by DFT (PBE) gives the theoretical powder diffraction line list in this record (Cu Ka).
Neutral-atom scattering factors, no anomalous dispersion.

Crystal structure
a b c (Å): 11.5378 4.0092 11.9828
angles (deg): 90.00 108.53 90.00
Space group P2_1/m (No. 11)
Unique sites:
Ho1 0.0433 0.2500 0.1917
U1 0.1491 0.2500 0.5759
U2 0.3193 0.7500 0.0027
U3 0.4266 0.2500 0.3333
Se1 0.0858 0.7500 0.3938
Se2 0.1135 0.2500 0.9653
Se3 0.1914 0.7500 0.7511
Se4 0.2486 0.7500 0.2186
Se5 0.3930 0.2500 0.5626
Se6 0.4937 0.2500 0.1248

The 6 most intense peaks (10 to 90 degrees two-theta), by angle:
23.13°, I = 777, (3 0 -1)
25.73°, I = 996, (1 1 1)
30.12°, I = 953, (2 1 1)
33.21°, I = 865, (3 1 0)
40.78°, I = 1000, (4 1 -3)
45.23°, I = 701, (0 2 0)

No. 8
For Y2ZrAs, a structure optimized by DFT (PBE) gives the theoretical powder diffraction line list in this record (Cu Ka).
Neutral-atom scattering factors, no anomalous dispersion.

Crystal structure
a b c (Å): 4.3579 4.0540 11.5261
angles (deg): 90.00 90.00 90.00
Space group Amm2 (No. 38)
Unique sites:
Y1 0.0000 0.0000 0.0000
Y2 0.5000 0.0000 0.3017
Zr1 0.5000 0.0000 0.5845
As1 0.0000 0.0000 0.7276

The 6 most intense peaks (10 to 90 degrees two-theta), by angle:
31.10°, I = 1000, (1 1 1)
32.10°, I = 361, (0 1 3)
37.41°, I = 397, (1 0 4)
38.32°, I = 471, (1 1 3)
41.44°, I = 242, (2 0 0)
59.67°, I = 197, (1 2 4)